CsBaAgIr2: theoretical X-ray powder pattern (Cu Kα), based on a cell relaxed with GGA-PBE.

Most intense lines, 15 to 90 degrees two-theta, by angle:
hkl 0 0 1, 2θ 15.6, intensity 30; hkl 1 0 1, 2θ 23.1, intensity 16; hkl 1 1 1, 2θ 28.7, intensity 100; hkl 0 0 2, 2θ 31.5, intensity 46; hkl 2 0 0, 2θ 34.1, intensity 74; hkl 2 0 1, 2θ 37.7, intensity 14; hkl 2 0 2, 2θ 47.1, intensity 60; hkl 2 2 0, 2θ 49.1, intensity 27; hkl 1 1 3, 2θ 54.4, intensity 17; hkl 3 1 1, 2θ 57.8, intensity 28; hkl 2 2 2, 2θ 59.5, intensity 30; hkl 2 0 4, 2θ 76.2, intensity 27

Crystal structure
a b c (Å): 5.2524 5.2524 5.6800
angles (deg): 90.00 90.00 90.00
Space group P4/mmm (No. 123)
Unique sites:
1 Cs 0.0000 0.0000 0.0000
2 Ba 0.5000 0.5000 0.5000
3 Ag 0.0000 0.0000 0.5000
4 Ir 0.0000 0.5000 0.0000